Structure and simulated X-ray powder pattern of CsAlCr2O8 (the PBE+U geometry in Alexandria; Cu Kα X-rays).

Peak list (6 most intense, 15 to 90 degrees two-theta, by intensity)
- 23.99°, I 1000
- 34.46°, I 291
- 26.11°, I 209
- 55.76°, I 156
- 33.89°, I 134
- 30.80°, I 130

Atomic structure:
```
CsAlCr2O8
1.0
2.6025 1.5026 8.7092
-2.6025 1.5026 8.7092
0.0000 -3.0051 8.7092
Cs Al Cr O
1 1 2 8
direct
0.0000 0.0000 0.0000
0.5000 0.5000 0.5000
0.2294 0.2294 0.2294
0.7706 0.7706 0.7706
0.1290 0.7073 0.5357
0.2921 0.2921 0.2921
0.2927 0.4643 0.8710
0.4643 0.8710 0.2927
0.5357 0.1290 0.7073
0.7073 0.5357 0.1290
0.7079 0.7079 0.7079
0.8710 0.2927 0.4643
```